For Eu2MgSi2O7, the GGA-PBE geometry in Alexandria gives the theoretical powder diffractogram in this record (a wavelength of 1.5418 Å).
No peak broadening, texture or thermal motion is included.

Most intense lines, 5 to 70 degrees two-theta, by angle:
5.206 Å, 2θ 17.03, I = 22
3.612 Å, 2θ 24.65, I = 21
3.191 Å, 2θ 27.96, I = 24
2.968 Å, 2θ 30.11, I = 100
2.554 Å, 2θ 35.14, I = 16
2.112 Å, 2θ 42.82, I = 27
1.833 Å, 2θ 49.73, I = 17
1.823 Å, 2θ 50.03, I = 15
1.565 Å, 2θ 59.04, I = 19
1.441 Å, 2θ 64.68, I = 12

Cell and atoms:
Cell lengths 8.076, 8.076, 5.206 Å; angles 90.00, 90.00, 90.00 degrees
Space group P-42_1m (No. 113)
One atom of each set of equivalent atoms:
Eu (0.166, 0.334, 0.008) x4
Mg (0.000, 0.000, 0.500) x2
Si (0.139, 0.639, 0.556) x4
O (0.000, 0.500, 0.663) x2
O (0.080, 0.811, 0.700) x8
O (0.141, 0.641, 0.245) x4